The following is a simulated powder diffractogram of VCuPbF6. It was derived from a PBE+U-relaxed structure, using Cu Kα, 1.54184 Å.
Peak positions follow from Bragg's law for the DFT cell and can differ from measured ones.

Main lines, sorted by position (2θ from 10° to 90°):
2θ/deg  d_spacing  I (rel.)  h k l
18.40  4.822  24  1 0 0
25.14  3.543  100  1 0 2
32.15  2.784  27  1 1 0
39.23  2.296  11  1 0 4
41.24  2.189  26  2 0 2
47.75  1.905  35  1 1 4
53.23  1.721  26  2 1 2
57.32  1.607  12  3 0 0

Cell and atoms:
a = 5.568 Å, b = 5.568 Å, c = 10.446 Å
α = 90.00°, β = 90.00°, γ = 120.00°
Positions (direct):
V 0.333 0.667 0.250
V 0.667 0.333 0.750
Cu 0.333 0.667 0.750
Cu 0.667 0.333 0.250
Pb 0.000 0.000 0.000
Pb 0.000 0.000 0.500
F 0.032 0.376 0.142
F 0.032 0.656 0.358
F 0.344 0.376 0.358
F 0.344 0.968 0.142
F 0.376 0.032 0.642
F 0.376 0.344 0.858
F 0.624 0.656 0.142
F 0.624 0.968 0.358
F 0.656 0.032 0.858
F 0.656 0.624 0.642
F 0.968 0.344 0.642
F 0.968 0.624 0.858